Structure and computed X-ray diffraction stick pattern of ZrUOs (a structure optimized by DFT (PBE); CuKα).
Kinematic intensities with the Lorentz-polarization factor, no thermal factor.

Structure:
Lattice parameters (Å, degrees): 3.098 5.983 13.500 90.00 90.00 90.00
Space group Immm (No. 71)
Symmetry-distinct sites (fractional):
Zr: 0.000 0.000 0.124
U: 0.000 0.000 0.328
Os: 0.000 0.230 0.500

Principal peaks in the range 10° ≤ 2θ ≤ 90°, in order of rising 2θ:
hkl, d [Å], 2θ (°), I_rel
0 1 3, 3.596, 24.76, 30
1 0 1, 3.019, 29.59, 55
1 1 0, 2.751, 32.55, 100
0 2 2, 2.735, 32.75, 78
0 1 5, 2.461, 36.51, 35
0 0 6, 2.250, 40.07, 40
0 2 4, 2.239, 40.29, 61
1 0 5, 2.035, 44.51, 58
1 2 3, 1.941, 46.80, 73
1 2 9, 1.231, 77.58, 35

=====

Structure and computed X-ray diffraction stick pattern of Sc4S3N2 (a structure optimized by DFT (PBE); CuKα).
Kinematic intensities with the Lorentz-polarization factor, no thermal factor.

Structure:
Lattice parameters (Å, degrees): 6.398 13.620 3.559 90.00 90.00 90.00
Space group Pnnm (No. 58)
Symmetry-distinct sites (fractional):
Sc: 0.205 0.064 0.000
Sc: 0.207 0.847 0.500
S: 0.000 0.500 0.000
S: 0.187 0.207 0.500
N: 0.120 0.917 0.000

Principal peaks in the range 10° ≤ 2θ ≤ 90°, in order of rising 2θ:
hkl, d [Å], 2θ (°), I_rel
1 3 0, 3.703, 24.03, 29
2 0 0, 3.199, 27.89, 58
1 4 0, 3.006, 29.72, 18
1 2 1, 2.829, 31.62, 51
0 3 1, 2.801, 31.95, 53
1 3 1, 2.566, 34.97, 70
0 5 1, 2.163, 41.76, 36
1 6 0, 2.139, 42.24, 32
2 3 1, 2.107, 42.92, 100
0 0 2, 1.780, 51.34, 31

=====

Structure and computed X-ray diffraction stick pattern of Ho2CuGe2O8 (a structure optimized by DFT (PBE); CuKα).
Kinematic intensities with the Lorentz-polarization factor, no thermal factor.

Structure:
Lattice parameters (Å, degrees): 9.543 15.048 5.158 90.00 120.58 90.00
Space group Cm (No. 8)
Symmetry-distinct sites (fractional):
Ho: 0.000 0.120 0.000
Ho: 0.004 0.380 0.549
Cu: 0.301 0.207 0.851
Ge: 0.248 0.288 0.299
Ge: 0.268 0.500 0.241
Ge: 0.279 0.000 0.861
O: 0.063 0.267 0.291
O: 0.094 0.000 0.869
O: 0.099 0.500 0.870
O: 0.251 0.170 0.150
O: 0.258 0.330 0.974
O: 0.270 0.408 0.469
O: 0.293 0.094 0.664
O: 0.422 0.259 0.663
O: 0.436 0.000 0.248
O: 0.440 0.500 0.195

Principal peaks in the range 10° ≤ 2θ ≤ 90°, in order of rising 2θ:
hkl, d [Å], 2θ (°), I_rel
1 1 -1, 4.877, 18.19, 36
1 3 -1, 3.596, 24.76, 46
1 1 1, 3.197, 27.90, 100
3 1 -1, 3.089, 28.90, 92
2 4 0, 2.774, 32.27, 89
1 5 -1, 2.599, 34.51, 95
2 0 -2, 2.577, 34.81, 42
4 0 0, 2.054, 44.09, 36
0 4 2, 1.912, 47.55, 43
4 4 -2, 1.865, 48.83, 44